Entry 1:
Theoretical XRD peak list of Li4Cd2GaGe for Cu Ka, from a DFT-relaxed cell (PBE, OQMD).
Kinematic intensities with the Lorentz-polarization factor, no thermal factor.

Structure:
```
8
Lattice="4.5429 0.0000 0.0000 0.0000 4.5429 0.0000 0.0000 0.0000 6.4583" Properties=species:S:1:pos:R:3 pbc="T T T"
Li 0.0000 0.0000 0.0000
Li 0.0000 2.2715 4.8413
Li 2.2715 0.0000 1.6171
Li 2.2715 2.2715 3.2292
Cd 0.0000 2.2715 1.5808
Cd 2.2715 0.0000 4.8775
Ga 2.2715 2.2715 0.0000
Ge 0.0000 0.0000 3.2292
```

The 12 most intense peaks (2θ from 15° to 90°), in order of rising 2θ:
d_spacing  I (rel.)  hkl
3.716  100  1 0 1
2.277  63  1 1 2
2.271  31  2 0 0
1.945  16  1 0 3
1.938  32  2 1 1
1.606  10  2 2 0
1.478  13  2 1 3
1.474  6  3 0 1
1.316  10  2 0 4
1.313  20  3 1 2
1.237  7  3 2 1
1.139  6  2 2 4


Entry 2:
Theoretical XRD peak list of Li2HfCdGa2Ir2 for Cu Ka, from a DFT-relaxed cell (PBE, OQMD).
Kinematic intensities with the Lorentz-polarization factor, no thermal factor.

Structure:
```
8
Lattice="4.4360 0.0000 0.0000 0.0000 4.4360 0.0000 0.0000 0.0000 6.3439" Properties=species:S:1:pos:R:3 pbc="T T T"
Li 0.0000 2.2180 1.4381
Li 2.2180 0.0000 4.9058
Hf 2.2180 2.2180 3.1720
Cd 0.0000 0.0000 0.0000
Ga 0.0000 0.0000 3.1720
Ga 2.2180 2.2180 0.0000
Ir 0.0000 2.2180 4.6690
Ir 2.2180 0.0000 1.6750
```

The 12 most intense peaks (2θ from 15° to 90°), in order of rising 2θ:
d_spacing  I (rel.)  hkl
3.635  85  1 0 1
2.230  100  1 1 2
2.218  50  2 0 0
1.909  14  1 0 3
1.893  28  2 1 1
1.586  8  0 0 4
1.568  17  2 2 0
1.447  11  2 1 3
1.290  16  2 0 4
1.283  34  3 1 2
1.208  7  3 2 1
1.115  11  2 2 4


Entry 3:
Theoretical XRD peak list of Li4Cd2InGa for Cu Ka, from a DFT-relaxed cell (PBE, OQMD).
Kinematic intensities with the Lorentz-polarization factor, no thermal factor.

Structure:
```
8
Lattice="4.6208 0.0000 0.0000 0.0000 4.6208 0.0000 0.0000 0.0000 6.5955" Properties=species:S:1:pos:R:3 pbc="T T T"
Li 0.0000 0.0000 0.0000
Li 0.0000 2.3104 4.8486
Li 2.3104 0.0000 1.7469
Li 2.3104 2.3104 3.2977
Cd 0.0000 2.3104 1.7535
Cd 2.3104 0.0000 4.8420
In 2.3104 2.3104 0.0000
Ga 0.0000 0.0000 3.2977
```

The 12 most intense peaks (2θ from 15° to 90°), in order of rising 2θ:
d_spacing  I (rel.)  hkl
3.784  100  1 0 1
2.321  64  1 1 2
2.310  32  2 0 0
1.985  16  1 0 3
1.972  32  2 1 1
1.634  11  2 2 0
1.506  12  2 1 3
1.500  6  3 0 1
1.342  10  2 0 4
1.336  21  3 1 2
1.258  7  3 2 1
1.161  6  2 2 4